1.
For Li2CaHg2Sb2, the GGA-PBE geometry in Alexandria gives the calculated powder X-ray diffraction pattern in this record (λ = 1.5418 Å (Cu Kα)).

Atomic structure:
```
Li2CaHg2Sb2
1.0
2.354 1.359 8.837
-2.354 1.359 8.837
0.000 -2.718 8.837
Li Ca Hg Sb
2 1 2 2
Direct
0.143 0.143 0.143
0.857 0.857 0.857
0.000 0.000 0.000
0.446 0.446 0.446
0.554 0.554 0.554
0.264 0.264 0.264
0.736 0.736 0.736
```

Top 8 peaks for 10 to 90 degrees two-theta, in order of falling intensity:
2θ 22.06, intensity 100; 2θ 38.24, intensity 100; 2θ 43.60, intensity 78; 2θ 32.26, intensity 73; 2θ 25.65, intensity 72; 2θ 40.59, intensity 46; 2θ 20.10, intensity 38; 2θ 72.85, intensity 27

2.
For Ca5ZnIn4, the GGA-PBE geometry in Alexandria gives the calculated powder X-ray diffraction pattern in this record (λ = 1.5418 Å (Cu Kα)).

Atomic structure:
```
Ca5ZnIn4
1.0
3.831 0.000 0.000
0.000 3.831 0.000
0.000 0.000 19.055
Ca Zn In
5 1 4
Direct
0.000 0.000 0.000
0.000 0.000 0.203
0.000 0.000 0.407
0.000 0.000 0.593
0.000 0.000 0.797
0.500 0.500 0.500
0.500 0.500 0.102
0.500 0.500 0.305
0.500 0.500 0.695
0.500 0.500 0.898
```

Top 8 peaks for 10 to 90 degrees two-theta, in order of falling intensity:
2θ 33.13, intensity 100; 2θ 59.12, intensity 23; 2θ 23.22, intensity 15; 2θ 47.46, intensity 12; 2θ 59.29, intensity 11; 2θ 23.34, intensity 8; 2θ 40.87, intensity 7; 2θ 69.59, intensity 7

3.
For PrHo2Cl, the GGA-PBE geometry in Alexandria gives the calculated powder X-ray diffraction pattern in this record (λ = 1.5418 Å (Cu Kα)).

Atomic structure:
```
PrHo2Cl
1.0
1.724 0.995 11.200
-1.724 0.995 11.200
0.000 -1.990 11.200
Pr Ho Cl
1 2 1
Direct
0.000 0.000 0.000
0.101 0.101 0.101
0.899 0.899 0.899
0.500 0.500 0.500
```

Top 8 peaks for 10 to 90 degrees two-theta, in order of falling intensity:
2θ 30.05, intensity 100; 2θ 40.41, intensity 84; 2θ 23.83, intensity 64; 2θ 30.41, intensity 54; 2θ 53.13, intensity 38; 2θ 36.94, intensity 38; 2θ 42.33, intensity 37; 2θ 59.02, intensity 33

4.
For Hf2Sc3In, the GGA-PBE geometry in Alexandria gives the calculated powder X-ray diffraction pattern in this record (λ = 1.5418 Å (Cu Kα)).

Atomic structure:
```
Hf2Sc3In
1.0
6.469 0.000 0.000
0.000 4.456 0.000
0.000 0.000 9.555
Hf Sc In
4 6 2
Direct
0.000 0.000 0.000
0.250 0.500 0.155
0.500 0.000 0.000
0.750 0.500 0.845
0.004 0.000 0.332
0.250 0.500 0.838
0.496 0.000 0.332
0.504 0.000 0.668
0.750 0.500 0.162
0.996 0.000 0.668
0.250 0.500 0.497
0.750 0.500 0.503
```

Top 8 peaks for 10 to 90 degrees two-theta, in order of falling intensity:
2θ 34.26, intensity 100; 2θ 34.62, intensity 96; 2θ 39.72, intensity 65; 2θ 58.01, intensity 42; 2θ 40.49, intensity 31; 2θ 68.37, intensity 25; 2θ 69.03, intensity 25; 2θ 16.55, intensity 19

5.
For TmSc4Rh, the GGA-PBE geometry in Alexandria gives the calculated powder X-ray diffraction pattern in this record (λ = 1.5418 Å (Cu Kα)).

Atomic structure:
```
TmSc4Rh
1.0
2.607 -8.485 0.000
2.607 8.485 0.000
0.000 0.000 6.946
Tm Sc Rh
2 8 2
Direct
0.113 0.887 0.750
0.887 0.113 0.250
0.119 0.881 0.250
0.294 0.706 0.010
0.294 0.706 0.490
0.500 0.500 0.000
0.500 0.500 0.500
0.706 0.294 0.510
0.706 0.294 0.990
0.881 0.119 0.750
0.396 0.604 0.750
0.604 0.396 0.250
```

Top 8 peaks for 10 to 90 degrees two-theta, in order of falling intensity:
2θ 26.56, intensity 100; 2θ 33.34, intensity 93; 2θ 21.95, intensity 69; 2θ 31.43, intensity 68; 2θ 48.66, intensity 62; 2θ 34.40, intensity 60; 2θ 43.14, intensity 49; 2θ 20.94, intensity 45

6.
For Rb8HgHAu2, the GGA-PBE geometry in Alexandria gives the calculated powder X-ray diffraction pattern in this record (λ = 1.5418 Å (Cu Kα)).

Atomic structure:
```
Rb8HgHAu2
1.0
7.965 0.000 0.000
0.486 8.754 0.000
1.869 -0.080 8.688
Rb Hg H Au
8 1 1 2
Direct
0.178 0.275 0.081
0.253 0.776 0.178
0.269 0.398 0.542
0.304 0.901 0.734
0.696 0.099 0.266
0.731 0.602 0.458
0.747 0.224 0.822
0.822 0.725 0.919
0.000 0.000 0.500
0.000 0.000 0.000
0.448 0.542 0.857
0.552 0.458 0.143
```

Top 8 peaks for 10 to 90 degrees two-theta, in order of falling intensity:
2θ 14.81, intensity 100; 2θ 25.89, intensity 72; 2θ 32.17, intensity 67; 2θ 29.86, intensity 65; 2θ 15.66, intensity 64; 2θ 32.44, intensity 57; 2θ 27.04, intensity 57; 2θ 14.43, intensity 55